(1)
# Np2CdBi4
Theoretical powder X-ray diffraction pattern, CuKα. Input: a PBE-relaxed structure.

Cell: 4.5455 4.5455 10.3336 Å, 90.00 90.00 90.00°
Positions (direct):
Np  0.0000  0.5000  0.2450
Np  0.5000  0.0000  0.7550
Cd  0.0000  0.0000  0.5000
Bi  0.0000  0.0000  0.0000
Bi  0.0000  0.5000  0.6891
Bi  0.5000  0.0000  0.3109
Bi  0.5000  0.5000  0.0000

Principal peaks in the range 2θ = 15–90°, low angle first:
| two_theta | I/Imax |
| --- | --- |
| 25.87 | 11 |
| 26.11 | 12 |
| 29.10 | 16 |
| 32.82 | 100 |
| 34.72 | 13 |
| 39.66 | 36 |
| 40.15 | 8 |
| 47.96 | 9 |
| 48.38 | 8 |
| 53.72 | 15 |
| 57.33 | 12 |
| 67.66 | 26 |

(2)
# LiDy2Cd8
Theoretical powder X-ray diffraction pattern, CuKα. Input: a PBE-relaxed structure.

Cell: 8.2872 8.2872 6.7725 Å, 104.49 104.49 33.93°
Positions (direct):
Li  0.0000  0.0000  0.0000
Dy  0.2828  0.2828  0.3399
Dy  0.7172  0.7172  0.6601
Cd  0.0928  0.0928  0.4255
Cd  0.1548  0.1548  0.8825
Cd  0.3513  0.3513  0.8478
Cd  0.4778  0.4778  0.2680
Cd  0.5222  0.5222  0.7320
Cd  0.6487  0.6487  0.1522
Cd  0.8452  0.8452  0.1175
Cd  0.9072  0.9072  0.5745

Principal peaks in the range 2θ = 15–90°, low angle first:
| two_theta | I/Imax |
| --- | --- |
| 30.99 | 18 |
| 34.36 | 82 |
| 34.69 | 28 |
| 34.88 | 100 |
| 37.18 | 46 |
| 41.23 | 23 |
| 42.01 | 21 |
| 56.71 | 17 |
| 57.33 | 16 |
| 62.91 | 12 |
| 65.23 | 12 |
| 65.55 | 15 |